Record 1
This entry pairs a crystal structure of Mn12Rh4N with its simulated X-ray diffraction stick pattern. Radiation: Cu Kα, 1.54184 Å. Structure: DFT lattice parameters and positions (PBE).
Neutral-atom scattering factors, no anomalous dispersion.

Main lines, in order of rising 2θ (5 to 70 degrees two-theta):
| 2θ/deg | intensity |
| --- | --- |
| 19.63 | 3 |
| 29.33 | 13 |
| 34.35 | 6 |
| 39.87 | 24 |
| 43.98 | 25 |
| 45.78 | 100 |
| 58.47 | 3 |
| 60.85 | 14 |

Structural model:
```
Mn12Rh4N
1.0
4.1179 0.0000 0.0000
0.0000 5.2247 0.0000
-0.0065 0.0000 9.0378
Mn Rh N
12 4 1
Direct
0.2356 0.2419 0.0865 Mn
0.2356 0.7581 0.0865 Mn
0.2367 0.5000 0.8296 Mn
0.2484 0.0000 0.3420 Mn
0.2495 0.2335 0.5784 Mn
0.2495 0.7665 0.5784 Mn
0.7505 0.2335 0.4216 Mn
0.7505 0.7665 0.4216 Mn
0.7516 0.0000 0.6580 Mn
0.7633 0.5000 0.1704 Mn
0.7644 0.2419 0.9135 Mn
0.7644 0.7581 0.9135 Mn
0.2516 0.5000 0.3378 Rh
0.2557 0.0000 0.8282 Rh
0.7443 0.0000 0.1718 Rh
0.7484 0.5000 0.6622 Rh
0.5000 0.5000 0.0000 N
```


Record 2
This entry pairs a crystal structure of Te4O9 with its simulated X-ray diffraction stick pattern. Radiation: Cu Kα, 1.54184 Å. Structure: DFT lattice parameters and positions (PBE).
Neutral-atom scattering factors, no anomalous dispersion.

Main lines, in order of rising 2θ (5 to 70 degrees two-theta):
| 2θ/deg | intensity |
| --- | --- |
| 17.36 | 24 |
| 24.59 | 29 |
| 25.63 | 100 |
| 29.35 | 22 |
| 31.09 | 20 |
| 32.70 | 32 |
| 40.08 | 27 |
| 49.84 | 28 |

Structural model:
```
Te4O9
1.0
4.7430 2.7384 5.1071
-4.7430 2.7384 5.1071
0.0000 -5.4768 5.1071
Te O
8 18
Direct
0.1598 0.4036 0.7101 Te
0.1835 0.1835 0.1835 Te
0.2899 0.8402 0.5964 Te
0.4036 0.7101 0.1598 Te
0.5964 0.2899 0.8402 Te
0.7101 0.1598 0.4036 Te
0.8165 0.8165 0.8165 Te
0.8402 0.5964 0.2899 Te
0.0429 0.9284 0.7176 O
0.0716 0.2824 0.9571 O
0.0830 0.4124 0.2775 O
0.2285 0.7116 0.4239 O
0.2775 0.0830 0.4124 O
0.2824 0.9571 0.0716 O
0.2884 0.5761 0.7715 O
0.4124 0.2775 0.0830 O
0.4239 0.2285 0.7116 O
0.5761 0.7715 0.2884 O
0.5876 0.7225 0.9170 O
0.7116 0.4239 0.2285 O
0.7176 0.0429 0.9284 O
0.7225 0.9170 0.5876 O
0.7715 0.2884 0.5761 O
0.9170 0.5876 0.7225 O
0.9284 0.7176 0.0429 O
0.9571 0.0716 0.2824 O
```


Record 3
This entry pairs a crystal structure of SrEuGdSbO6 with its simulated X-ray diffraction stick pattern. Radiation: Cu Kα, 1.54184 Å. Structure: DFT lattice parameters and positions (PBE).
Neutral-atom scattering factors, no anomalous dispersion.

Main lines, in order of rising 2θ (5 to 70 degrees two-theta):
| 2θ/deg | intensity |
| --- | --- |
| 18.18 | 4 |
| 21.02 | 3 |
| 29.89 | 100 |
| 35.21 | 3 |
| 42.79 | 30 |
| 46.84 | 2 |
| 53.07 | 40 |
| 62.11 | 19 |

Structural model:
```
SrEuGdSbO6
1.0
0.0000 4.2271 4.2271
4.2271 0.0000 4.2271
4.2271 4.2271 0.0000
Sr Eu Gd Sb O
1 1 1 1 6
Direct
0.0000 0.0000 0.0000 Sr
0.5000 0.5000 0.5000 Eu
0.2500 0.2500 0.2500 Gd
0.7500 0.7500 0.7500 Sb
0.5143 0.5143 0.9857 O
0.5143 0.9857 0.5143 O
0.5143 0.9857 0.9857 O
0.9857 0.5143 0.5143 O
0.9857 0.5143 0.9857 O
0.9857 0.9857 0.5143 O
```


Record 4
This entry pairs a crystal structure of MnC8N2Cl4 with its simulated X-ray diffraction stick pattern. Radiation: Cu Kα, 1.54184 Å. Structure: DFT lattice parameters and positions (PBE).
Neutral-atom scattering factors, no anomalous dispersion.

Main lines, in order of rising 2θ (5 to 70 degrees two-theta):
| 2θ/deg | intensity |
| --- | --- |
| 11.17 | 23 |
| 12.81 | 60 |
| 13.39 | 57 |
| 14.76 | 17 |
| 18.57 | 100 |
| 19.80 | 36 |
| 21.01 | 25 |
| 22.83 | 28 |

Structural model:
```
MnC8N2Cl4
1.0
12.0059 0.0000 0.0000
0.0000 8.9699 0.0000
0.0000 0.0000 16.9114
Mn C N Cl
4 32 8 16
Direct
0.2481 0.2500 0.0999 Mn
0.2519 0.7500 0.5999 Mn
0.7481 0.2500 0.4001 Mn
0.7519 0.7500 0.9001 Mn
0.0093 0.2500 0.7938 C
0.0132 0.1618 0.6449 C
0.0132 0.3382 0.6449 C
0.0206 0.2500 0.5760 C
0.0702 0.7500 0.9355 C
0.1307 0.6473 0.8817 C
0.1307 0.8527 0.8817 C
0.2234 0.7500 0.8606 C
0.2766 0.2500 0.3606 C
0.3693 0.1473 0.3817 C
0.3693 0.3527 0.3817 C
0.4298 0.2500 0.4355 C
0.4794 0.7500 0.0760 C
0.4868 0.6618 0.1449 C
0.4868 0.8382 0.1449 C
0.4907 0.7500 0.2938 C
0.5093 0.2500 0.7062 C
0.5132 0.1618 0.8551 C
0.5132 0.3382 0.8551 C
0.5206 0.2500 0.9240 C
0.5702 0.7500 0.5645 C
0.6307 0.6473 0.6183 C
0.6307 0.8527 0.6183 C
0.7234 0.7500 0.6394 C
0.7766 0.2500 0.1394 C
0.8693 0.1473 0.1183 C
0.8693 0.3527 0.1183 C
0.9298 0.2500 0.0645 C
0.9794 0.7500 0.4240 C
0.9868 0.6618 0.3551 C
0.9868 0.8382 0.3551 C
0.9907 0.7500 0.2062 C
0.0084 0.2500 0.7199 N
0.1973 0.7500 0.9505 N
0.3027 0.2500 0.4505 N
0.4916 0.7500 0.2199 N
0.5084 0.2500 0.7801 N
0.6973 0.7500 0.5495 N
0.8027 0.2500 0.0495 N
0.9916 0.7500 0.2801 N
0.0777 0.7500 0.6013 Cl
0.1997 0.0390 0.1476 Cl
0.2003 0.2500 0.9803 Cl
0.1997 0.4610 0.1476 Cl
0.3003 0.5390 0.6476 Cl
0.2997 0.7500 0.4803 Cl
0.3003 0.9610 0.6476 Cl
0.4223 0.2500 0.1013 Cl
0.5777 0.7500 0.8987 Cl
0.6997 0.0390 0.3524 Cl
0.7003 0.2500 0.5197 Cl
0.6997 0.4610 0.3524 Cl
0.8003 0.5390 0.8524 Cl
0.7997 0.7500 0.0197 Cl
0.8003 0.9610 0.8524 Cl
0.9223 0.2500 0.3987 Cl
```